Record 1
Computed powder diffractogram
Compound: Tm2CuRh
Radiation: Cu Kα
Structure: a PBE-relaxed structure

Atomic structure:
```
16
Lattice="6.7996 0.0000 0.0000 0.0000 6.7996 0.0000 0.0000 0.0000 6.7996" Properties=species:S:1:pos:R:3 pbc="T T T"
Tm 1.6999 1.6999 1.6999
Tm 1.6999 1.6999 5.0997
Tm 1.6999 5.0997 1.6999
Tm 1.6999 5.0997 5.0997
Tm 5.0997 1.6999 1.6999
Tm 5.0997 1.6999 5.0997
Tm 5.0997 5.0997 1.6999
Tm 5.0997 5.0997 5.0997
Cu 0.0000 0.0000 0.0000
Cu 0.0000 3.3998 3.3998
Cu 3.3998 0.0000 3.3998
Cu 3.3998 3.3998 0.0000
Rh 0.0000 0.0000 3.3998
Rh 0.0000 3.3998 0.0000
Rh 3.3998 0.0000 0.0000
Rh 3.3998 3.3998 3.3998
```

Main lines, by intensity (2θ = 15–90°):
37.41 deg, d = 2.404 Å, rel. 100, (2 2 0); 67.48 deg, d = 1.388 Å, rel. 35, (4 2 2); 53.94 deg, d = 1.700 Å, rel. 17, (4 0 0); 26.21 deg, d = 3.400 Å, rel. 12, (2 0 0); 79.79 deg, d = 1.202 Å, rel. 11, (4 4 0); 60.93 deg, d = 1.520 Å, rel. 5, (4 2 0)

Record 2
Computed powder diffractogram
Compound: VCuRh2
Radiation: Cu Kα
Structure: a PBE-relaxed structure

Atomic structure:
```
16
Lattice="5.9840 0.0000 0.0000 0.0000 5.9840 0.0000 0.0000 0.0000 5.9840" Properties=species:S:1:pos:R:3 pbc="T T T"
V 0.0000 0.0000 0.0000
V 0.0000 2.9920 2.9920
V 2.9920 0.0000 2.9920
V 2.9920 2.9920 0.0000
Cu 0.0000 0.0000 2.9920
Cu 0.0000 2.9920 0.0000
Cu 2.9920 0.0000 0.0000
Cu 2.9920 2.9920 2.9920
Rh 1.4960 1.4960 1.4960
Rh 1.4960 1.4960 4.4880
Rh 1.4960 4.4880 1.4960
Rh 1.4960 4.4880 4.4880
Rh 4.4880 1.4960 1.4960
Rh 4.4880 1.4960 4.4880
Rh 4.4880 4.4880 1.4960
Rh 4.4880 4.4880 4.4880
```

Main lines, by intensity (2θ = 15–90°):
42.74 deg, d = 2.116 Å, rel. 100, (2 2 0); 78.27 deg, d = 1.221 Å, rel. 31, (4 2 2); 62.04 deg, d = 1.496 Å, rel. 16, (4 0 0); 29.86 deg, d = 2.992 Å, rel. 10, (2 0 0); 70.36 deg, d = 1.338 Å, rel. 4, (4 2 0); 53.01 deg, d = 1.727 Å, rel. 3, (2 2 2)

Record 3
Computed powder diffractogram
Compound: Y2CuRh
Radiation: Cu Kα
Structure: a PBE-relaxed structure

Atomic structure:
```
16
Lattice="6.9200 0.0000 0.0000 0.0000 6.9200 0.0000 0.0000 0.0000 6.9200" Properties=species:S:1:pos:R:3 pbc="T T T"
Y 1.7300 1.7300 1.7300
Y 1.7300 1.7300 5.1900
Y 1.7300 5.1900 1.7300
Y 1.7300 5.1900 5.1900
Y 5.1900 1.7300 1.7300
Y 5.1900 1.7300 5.1900
Y 5.1900 5.1900 1.7300
Y 5.1900 5.1900 5.1900
Cu 0.0000 0.0000 0.0000
Cu 0.0000 3.4600 3.4600
Cu 3.4600 0.0000 3.4600
Cu 3.4600 3.4600 0.0000
Rh 0.0000 0.0000 3.4600
Rh 0.0000 3.4600 0.0000
Rh 3.4600 0.0000 0.0000
Rh 3.4600 3.4600 3.4600
```

Main lines, by intensity (2θ = 15–90°):
36.73 deg, d = 2.447 Å, rel. 100, (2 2 0); 66.15 deg, d = 1.413 Å, rel. 34, (4 2 2); 52.93 deg, d = 1.730 Å, rel. 17, (4 0 0); 89.59 deg, d = 1.094 Å, rel. 15, (6 2 0); 78.13 deg, d = 1.223 Å, rel. 10, (4 4 0); 22.25 deg, d = 3.995 Å, rel. 3, (1 1 1)

Record 4
Computed powder diffractogram
Compound: Zn2CuRh
Radiation: Cu Kα
Structure: a PBE-relaxed structure

Atomic structure:
```
16
Lattice="6.0010 0.0000 0.0000 0.0000 6.0010 0.0000 0.0000 0.0000 6.0010" Properties=species:S:1:pos:R:3 pbc="T T T"
Zn 1.5003 1.5003 1.5003
Zn 1.5003 1.5003 4.5008
Zn 1.5003 4.5008 1.5003
Zn 1.5003 4.5008 4.5008
Zn 4.5008 1.5003 1.5003
Zn 4.5008 1.5003 4.5008
Zn 4.5008 4.5008 1.5003
Zn 4.5008 4.5008 4.5008
Cu 0.0000 0.0000 0.0000
Cu 0.0000 3.0005 3.0005
Cu 3.0005 0.0000 3.0005
Cu 3.0005 3.0005 0.0000
Rh 0.0000 0.0000 3.0005
Rh 0.0000 3.0005 0.0000
Rh 3.0005 0.0000 0.0000
Rh 3.0005 3.0005 3.0005
```

Main lines, by intensity (2θ = 15–90°):
42.61 deg, d = 2.122 Å, rel. 100, (2 2 0); 78.00 deg, d = 1.225 Å, rel. 31, (4 2 2); 61.84 deg, d = 1.500 Å, rel. 16, (4 0 0); 25.71 deg, d = 3.465 Å, rel. 3, (1 1 1); 50.44 deg, d = 1.809 Å, rel. 2, (3 1 1); 29.78 deg, d = 3.001 Å, rel. 1, (2 0 0)

Record 5
Computed powder diffractogram
Compound: Sc2CuRu
Radiation: Cu Kα
Structure: a PBE-relaxed structure

Atomic structure:
```
16
Lattice="6.4758 0.0000 0.0000 0.0000 6.4758 0.0000 0.0000 0.0000 6.4758" Properties=species:S:1:pos:R:3 pbc="T T T"
Sc 1.6190 1.6190 1.6190
Sc 1.6190 1.6190 4.8569
Sc 1.6190 4.8569 1.6190
Sc 1.6190 4.8569 4.8569
Sc 4.8569 1.6190 1.6190
Sc 4.8569 1.6190 4.8569
Sc 4.8569 4.8569 1.6190
Sc 4.8569 4.8569 4.8569
Cu 0.0000 0.0000 0.0000
Cu 0.0000 3.2379 3.2379
Cu 3.2379 0.0000 3.2379
Cu 3.2379 3.2379 0.0000
Ru 0.0000 0.0000 3.2379
Ru 0.0000 3.2379 0.0000
Ru 3.2379 0.0000 0.0000
Ru 3.2379 3.2379 3.2379
```

Main lines, by intensity (2θ = 15–90°):
39.35 deg, d = 2.290 Å, rel. 100, (2 2 0); 71.35 deg, d = 1.322 Å, rel. 31, (4 2 2); 56.87 deg, d = 1.619 Å, rel. 16, (4 0 0); 27.55 deg, d = 3.238 Å, rel. 13, (2 0 0); 84.66 deg, d = 1.145 Å, rel. 10, (4 4 0); 64.33 deg, d = 1.448 Å, rel. 5, (4 2 0)

Record 6
Computed powder diffractogram
Compound: Sm2CuRu
Radiation: Cu Kα
Structure: a PBE-relaxed structure

Atomic structure:
```
16
Lattice="6.9925 0.0000 0.0000 0.0000 6.9925 0.0000 0.0000 0.0000 6.9925" Properties=species:S:1:pos:R:3 pbc="T T T"
Sm 1.7481 1.7481 1.7481
Sm 1.7481 1.7481 5.2444
Sm 1.7481 5.2444 1.7481
Sm 1.7481 5.2444 5.2444
Sm 5.2444 1.7481 1.7481
Sm 5.2444 1.7481 5.2444
Sm 5.2444 5.2444 1.7481
Sm 5.2444 5.2444 5.2444
Cu 0.0000 0.0000 0.0000
Cu 0.0000 3.4963 3.4963
Cu 3.4963 0.0000 3.4963
Cu 3.4963 3.4963 0.0000
Ru 0.0000 0.0000 3.4963
Ru 0.0000 3.4963 0.0000
Ru 3.4963 0.0000 0.0000
Ru 3.4963 3.4963 3.4963
```

Main lines, by intensity (2θ = 15–90°):
36.34 deg, d = 2.472 Å, rel. 100, (2 2 0); 65.38 deg, d = 1.427 Å, rel. 35, (4 2 2); 52.33 deg, d = 1.748 Å, rel. 17, (4 0 0); 88.42 deg, d = 1.106 Å, rel. 16, (6 2 0); 77.17 deg, d = 1.236 Å, rel. 11, (4 4 0); 25.48 deg, d = 3.496 Å, rel. 9, (2 0 0)

Record 7
Computed powder diffractogram
Compound: CuS2
Radiation: Cu Kα
Structure: a PBE-relaxed structure

Atomic structure:
```
12
Lattice="5.7995 0.0000 0.0000 0.0000 5.7995 0.0000 0.0000 0.0000 5.7995" Properties=species:S:1:pos:R:3 pbc="T T T"
Cu 0.0000 0.0000 0.0000
Cu 0.0000 2.8997 2.8997
Cu 2.8997 0.0000 2.8997
Cu 2.8997 2.8997 0.0000
S 0.5867 3.4864 5.2128
S 0.5867 5.2128 2.3130
S 2.3130 0.5867 5.2128
S 2.3130 2.3130 2.3130
S 3.4864 3.4864 3.4864
S 3.4864 5.2128 0.5867
S 5.2128 0.5867 3.4864
S 5.2128 2.3130 0.5867
```

Main lines, by intensity (2θ = 15–90°):
30.84 deg, d = 2.900 Å, rel. 100, (2 0 0); 52.32 deg, d = 1.749 Å, rel. 73, (3 1 1); 44.17 deg, d = 2.050 Å, rel. 51, (2 2 0); 87.37 deg, d = 1.116 Å, rel. 32, (5 1 1); 26.62 deg, d = 3.348 Å, rel. 28, (1 1 1); 34.58 deg, d = 2.594 Å, rel. 26, (2 1 0)

Record 8
Computed powder diffractogram
Compound: Cu2S
Radiation: Cu Kα
Structure: a PBE-relaxed structure

Atomic structure:
```
12
Lattice="4.0426 0.0000 0.0000 0.0000 6.8159 0.0000 -0.3729 0.0000 7.2876" Properties=species:S:1:pos:R:3 pbc="T T T"
Cu -0.0932 0.0975 1.8219
Cu -0.2797 6.7184 5.4657
Cu 0.8242 1.7040 3.6438
Cu 1.0106 5.1119 0.0000
Cu 1.7416 3.3104 5.4657
Cu 1.9281 3.5054 1.8219
Cu 3.0319 1.7040 0.0000
Cu 2.8455 5.1119 3.6438
S -0.0932 2.4971 1.8219
S -0.2797 4.3187 5.4657
S 1.7416 0.9108 5.4657
S 1.9281 5.9051 1.8219
```

Main lines, by intensity (2θ = 15–90°):
27.96 deg, d = 3.191 Å, rel. 100, (1 1 -1); 36.09 deg, d = 2.489 Å, rel. 89, (0 2 2); 52.70 deg, d = 1.737 Å, rel. 28, (2 2 0); 50.07 deg, d = 1.822 Å, rel. 27, (0 0 4); 50.56 deg, d = 1.805 Å, rel. 26, (2 0 -2); 25.65 deg, d = 3.474 Å, rel. 26, (1 1 0)

Record 9
Computed powder diffractogram
Compound: Cu2S
Radiation: Cu Kα
Structure: a PBE-relaxed structure

Atomic structure:
```
6
Lattice="3.6860 0.0000 0.0000 0.0000 6.1230 0.0000 0.0000 0.0000 4.0547" Properties=species:S:1:pos:R:3 pbc="T T T"
Cu 0.0000 1.2816 0.0000
Cu 0.0000 4.8414 0.0000
Cu 1.8430 1.7799 2.0274
Cu 1.8430 4.3432 2.0274
S 0.0000 3.0615 1.3308
S 1.8430 0.0000 3.3581
```

Main lines, by intensity (2θ = 15–90°):
44.49 deg, d = 2.037 Å, rel. 100, (1 2 1); 32.84 deg, d = 2.727 Å, rel. 99, (1 0 1); 26.36 deg, d = 3.381 Å, rel. 39, (0 1 1); 29.17 deg, d = 3.062 Å, rel. 32, (0 2 0); 54.27 deg, d = 1.690 Å, rel. 27, (0 2 2); 51.16 deg, d = 1.786 Å, rel. 27, (1 3 0)

Record 10
Computed powder diffractogram
Compound: Cu2S
Radiation: Cu Kα
Structure: a PBE-relaxed structure

Atomic structure:
```
6
Lattice="4.2489 0.0000 0.0000 -2.1245 3.6797 0.0000 0.0000 0.0000 5.3651" Properties=species:S:1:pos:R:3 pbc="T T T"
Cu 0.0000 0.0000 1.3413
Cu 0.0000 0.0000 4.0238
Cu 0.0000 2.4531 1.3413
Cu 2.1245 1.2266 4.0238
S 0.0000 2.4531 4.0238
S 2.1245 1.2266 1.3413
```

Main lines, by intensity (2θ = 15–90°):
42.55 deg, d = 2.124 Å, rel. 100, (1 1 0); 55.15 deg, d = 1.665 Å, rel. 88, (1 1 2); 33.40 deg, d = 2.683 Å, rel. 68, (0 0 2); 85.65 deg, d = 1.134 Å, rel. 23, (1 1 4); 87.44 deg, d = 1.115 Å, rel. 22, (3 0 2); 29.43 deg, d = 3.035 Å, rel. 18, (1 0 1)

Record 11
Computed powder diffractogram
Compound: Cu2S
Radiation: Cu Kα
Structure: a PBE-relaxed structure

Atomic structure:
```
12
Lattice="7.0062 0.0000 0.0000 0.0000 7.0062 0.0000 0.0000 0.0000 3.8057" Properties=species:S:1:pos:R:3 pbc="T T T"
Cu 0.0000 0.0000 0.0000
Cu 0.0000 3.5031 0.0000
Cu 1.7516 1.7516 2.8543
Cu 1.7516 5.2547 0.9514
Cu 3.5031 0.0000 1.9028
Cu 3.5031 3.5031 1.9028
Cu 5.2547 1.7516 2.8543
Cu 5.2547 5.2547 0.9514
S 0.0000 1.7516 1.4271
S 0.0000 5.2547 2.3786
S 3.5031 1.7516 0.4757
S 3.5031 5.2547 3.3300
```

Main lines, by intensity (2θ = 15–90°):
37.17 deg, d = 2.419 Å, rel. 100, (2 1 1); 36.27 deg, d = 2.477 Å, rel. 35, (2 2 0); 54.91 deg, d = 1.672 Å, rel. 34, (2 0 2); 52.90 deg, d = 1.731 Å, rel. 34, (3 2 1); 52.22 deg, d = 1.752 Å, rel. 30, (4 0 0); 26.66 deg, d = 3.344 Å, rel. 29, (1 0 1)

Record 12
Computed powder diffractogram
Compound: Cu2S
Radiation: Cu Kα
Structure: a PBE-relaxed structure

Atomic structure:
```
12
Lattice="3.9936 0.0000 0.0000 0.0000 3.9936 0.0000 0.0000 0.0000 11.2372" Properties=species:S:1:pos:R:3 pbc="T T T"
Cu 0.0014 1.3570 3.7591
Cu 3.9922 2.6366 9.3777
Cu 0.6398 1.9982 0.9498
Cu 1.3570 0.0014 7.4781
Cu 1.9982 0.6398 10.2874
Cu 1.9954 3.3538 4.6688
Cu 2.6366 3.9922 1.8595
Cu 3.3538 1.9954 6.5684
S 0.0114 0.0114 5.6186
S 1.9854 2.0082 2.8093
S 2.0082 1.9854 8.4279
S 3.9822 3.9822 0.0000
```

Main lines, by intensity (2θ = 15–90°):
32.71 deg, d = 2.737 Å, rel. 100, (1 1 1); 39.21 deg, d = 2.298 Å, rel. 61, (1 0 4); 48.38 deg, d = 1.882 Å, rel. 29, (2 0 2); 39.98 deg, d = 2.255 Å, rel. 24, (1 1 3); 45.55 deg, d = 1.992 Å, rel. 24, (1 1 4); 53.86 deg, d = 1.702 Å, rel. 23, (2 1 2)